(1)
Diffraction record for Mg5Cd6. The X-ray powder pattern is theoretical, not measured: it uses a DFT-relaxed cell (PBE, Alexandria) and Cu Kα.
Peak positions follow from Bragg's law for the DFT cell and can differ from measured ones.

Peak list (10 most intense, 2θ from 10° to 90°, by angle)
25.3°, intensity 71, (1 0 3); 26.8°, intensity 28, (0 2 0); 36.0°, intensity 31, (2 0 0); 36.2°, intensity 26, (0 0 6); 37.2°, intensity 100, (1 2 3); 45.4°, intensity 13, (2 2 0); 45.6°, intensity 11, (0 2 6); 52.0°, intensity 18, (2 0 6); 65.5°, intensity 18, (3 2 3); 65.8°, intensity 12, (1 2 9)

```
data_Mg5Cd6
_chemical_formula_sum 'Mg10 Cd12'
_cell_length_a 4.9889
_cell_length_b 6.6564
_cell_length_c 14.8796
_cell_angle_alpha 90.00
_cell_angle_beta 90.00
_cell_angle_gamma 90.00
_symmetry_space_group_name_H-M 'I m m m'
_symmetry_Int_Tables_number 71
_symmetry_space_group_name_Hall '-I 2 2'
loop_
_atom_site_label
_atom_site_type_symbol
_atom_site_fract_x
_atom_site_fract_y
_atom_site_fract_z
Mg1 Mg 0.0000 0.0000 0.0000
Mg2 Mg 0.0000 0.0000 0.3188
Mg3 Mg 0.0000 0.5000 0.3356
Cd1 Cd 0.0000 0.2238 0.5000
Cd2 Cd 0.0000 0.2698 0.1523
```



(2)
Diffraction record for Mg4Cd5. The X-ray powder pattern is theoretical, not measured: it uses a DFT-relaxed cell (PBE, Alexandria) and Cu Kα.
Peak positions follow from Bragg's law for the DFT cell and can differ from measured ones.

Peak list (10 most intense, 2θ from 10° to 90°, by angle)
13.2°, intensity 35, (1 1 0); 29.3°, intensity 22, (2 1 1); 34.9°, intensity 100, (3 0 1); 40.2°, intensity 33, (3 3 0); 41.2°, intensity 16, (0 0 2); 58.2°, intensity 11, (6 0 0); 58.9°, intensity 21, (3 3 2); 69.7°, intensity 24, (6 3 1); 71.1°, intensity 12, (3 0 3); 73.8°, intensity 10, (6 0 2)

```
data_Mg4Cd5
_chemical_formula_sum 'Mg8 Cd10'
_cell_length_a 9.5129
_cell_length_b 9.5129
_cell_length_c 4.3822
_cell_angle_alpha 90.00
_cell_angle_beta 90.00
_cell_angle_gamma 90.00
_symmetry_space_group_name_H-M 'I 4/m m m'
_symmetry_Int_Tables_number 139
_symmetry_space_group_name_Hall '-I 4 2'
loop_
_atom_site_label
_atom_site_type_symbol
_atom_site_fract_x
_atom_site_fract_y
_atom_site_fract_z
Mg1 Mg 0.0000 0.3281 0.0000
Cd1 Cd 0.0000 0.0000 0.0000
Cd2 Cd 0.1677 0.1677 0.5000
```



(3)
Diffraction record for Mg5Cd2. The X-ray powder pattern is theoretical, not measured: it uses a DFT-relaxed cell (PBE, Alexandria) and Cu Kα.
Peak positions follow from Bragg's law for the DFT cell and can differ from measured ones.

Peak list (10 most intense, 2θ from 10° to 90°, by angle)
18.2°, intensity 21, (2 0 0); 20.4°, intensity 38, (2 0 -1); 22.5°, intensity 57, (1 1 0); 24.6°, intensity 27, (0 0 2); 25.0°, intensity 21, (1 1 -1); 34.5°, intensity 100, (1 1 2); 35.3°, intensity 94, (3 1 -1); 39.2°, intensity 35, (2 0 -3); 40.6°, intensity 31, (4 0 1); 41.8°, intensity 29, (0 2 0)

```
data_Mg5Cd2
_chemical_formula_sum 'Mg10 Cd4'
_cell_length_a 9.8748
_cell_length_b 4.3244
_cell_length_c 7.3121
_cell_angle_alpha 90.00
_cell_angle_beta 98.17
_cell_angle_gamma 90.00
_symmetry_space_group_name_H-M 'C 1 2/m 1'
_symmetry_Int_Tables_number 12
loop_
_symmetry_equiv_pos_as_xyz
'x,y,z'
'-x,-y,-z'
'-x,y,-z'
'x,-y,z'
'x+1/2,y+1/2,z'
'-x+1/2,-y+1/2,-z'
'-x+1/2,y+1/2,-z'
'x+1/2,-y+1/2,z'
loop_
_atom_site_label
_atom_site_type_symbol
_atom_site_fract_x
_atom_site_fract_y
_atom_site_fract_z
Mg1 Mg 0.0000 0.0000 0.0000
Mg2 Mg 0.1395 0.0000 0.4274
Mg3 Mg 0.2152 0.5000 0.1458
Cd1 Cd 0.0746 0.5000 0.7193
```



(4)
Diffraction record for MgCd2. The X-ray powder pattern is theoretical, not measured: it uses a DFT-relaxed cell (PBE, Alexandria) and Cu Kα.
Peak positions follow from Bragg's law for the DFT cell and can differ from measured ones.

Peak list (10 most intense, 2θ from 10° to 90°, by angle)
11.1°, intensity 31, (0 2 0); 27.7°, intensity 15, (1 1 0); 28.7°, intensity 19, (0 4 1); 32.0°, intensity 19, (1 3 0); 36.0°, intensity 34, (0 0 2); 36.8°, intensity 100, (1 3 1); 38.4°, intensity 36, (0 6 1); 59.2°, intensity 15, (1 9 0); 65.2°, intensity 17, (1 3 3); 71.3°, intensity 16, (1 9 2)

```
data_MgCd2
_chemical_formula_sum 'Mg4 Cd8'
_cell_length_a 3.2888
_cell_length_b 15.9515
_cell_length_c 4.9922
_cell_angle_alpha 90.00
_cell_angle_beta 90.00
_cell_angle_gamma 90.00
_symmetry_space_group_name_H-M 'C m c m'
_symmetry_Int_Tables_number 63
_symmetry_space_group_name_Hall '-C 2c 2'
loop_
_atom_site_label
_atom_site_type_symbol
_atom_site_fract_x
_atom_site_fract_y
_atom_site_fract_z
Mg1 Mg 0.0000 0.0602 0.2500
Cd1 Cd 0.0000 0.2777 0.7500
Cd2 Cd 0.0000 0.3941 0.2500
```



(5)
Diffraction record for MgCd2. The X-ray powder pattern is theoretical, not measured: it uses a DFT-relaxed cell (PBE, Alexandria) and Cu Kα.
Peak positions follow from Bragg's law for the DFT cell and can differ from measured ones.

Peak list (10 most intense, 2θ from 10° to 90°, by angle)
19.7°, intensity 19, (2 0 0); 25.4°, intensity 36, (1 1 1); 32.8°, intensity 22, (0 2 0); 33.7°, intensity 42, (0 0 2); 37.0°, intensity 33, (0 2 1); 38.1°, intensity 100, (3 1 1); 47.8°, intensity 15, (0 2 2); 59.4°, intensity 13, (3 3 0); 63.3°, intensity 21, (3 1 3); 70.1°, intensity 16, (3 3 2)

```
data_MgCd2
_chemical_formula_sum 'Mg4 Cd8'
_cell_length_a 9.0181
_cell_length_b 5.4559
_cell_length_c 5.3168
_cell_angle_alpha 90.00
_cell_angle_beta 90.00
_cell_angle_gamma 90.00
_symmetry_space_group_name_H-M 'C m c m'
_symmetry_Int_Tables_number 63
_symmetry_space_group_name_Hall '-C 2c 2'
loop_
_atom_site_label
_atom_site_type_symbol
_atom_site_fract_x
_atom_site_fract_y
_atom_site_fract_z
Mg1 Mg 0.0000 0.1878 0.2500
Cd1 Cd 0.1664 0.3139 0.7500
```



(6)
Diffraction record for Mg17Cd12. The X-ray powder pattern is theoretical, not measured: it uses a DFT-relaxed cell (PBE, Alexandria) and Cu Kα.
Peak positions follow from Bragg's law for the DFT cell and can differ from measured ones.

Peak list (10 most intense, 2θ from 10° to 90°, by angle)
20.0°, intensity 100, (2 1 1); 28.4°, intensity 16, (2 2 2); 35.0°, intensity 84, (4 1 1); 38.9°, intensity 83, (3 3 2); 42.4°, intensity 65, (5 1 0); 60.2°, intensity 30, (5 5 0); 62.8°, intensity 19, (7 2 1); 64.1°, intensity 14, (6 4 2); 79.9°, intensity 14, (8 3 3); 82.2°, intensity 18, (6 5 5)

```
data_Mg17Cd12
_chemical_formula_sum 'Mg34 Cd24'
_cell_length_a 10.8712
_cell_length_b 10.8712
_cell_length_c 10.8712
_cell_angle_alpha 90.00
_cell_angle_beta 90.00
_cell_angle_gamma 90.00
_symmetry_space_group_name_H-M 'I -4 3 m'
_symmetry_Int_Tables_number 217
_symmetry_space_group_name_Hall 'I -4 2 3'
loop_
_atom_site_label
_atom_site_type_symbol
_atom_site_fract_x
_atom_site_fract_y
_atom_site_fract_z
Mg1 Mg 0.0000 0.0000 0.0000
Mg2 Mg 0.0456 0.3598 0.3598
Mg3 Mg 0.1703 0.1703 0.8297
Cd1 Cd 0.0938 0.0938 0.2869
```